HoErBPb: computed X-ray diffraction stick pattern (λ = 1.5418 Å (Cu Kα)), based on a DFT-relaxed cell (GGA-PBE, OQMD).
Intensities are scaled so that the largest is 100.

Peak list (10 most intense, 10 to 90 degrees two-theta, by angle)
| h k l | d [Å] | Position (°2θ) | I/Imax |
| --- | --- | --- | --- |
| 1 0 0 | 3.180 | 28.06 | 19 |
| 0 0 6 | 2.758 | 32.46 | 100 |
| 1 0 6 | 2.087 | 43.36 | 13 |
| 1 1 0 | 1.836 | 49.65 | 18 |
| 1 0 9 | 1.595 | 57.81 | 15 |
| 1 1 6 | 1.529 | 60.56 | 32 |
| 2 0 9 | 1.204 | 79.62 | 6 |
| 2 1 3 | 1.175 | 82.04 | 12 |
| 1 1 12 | 1.104 | 88.53 | 6 |
| 2 1 6 | 1.102 | 88.75 | 4 |

Crystal structure
```
8
Lattice="3.6723 0.0000 0.0000 -1.8361 3.1803 0.0000 0.0000 0.0000 16.5905" Properties=species:S:1:pos:R:3 pbc="T T T"
Ho 0.0000 0.0000 2.6759
Ho 0.0000 0.0000 13.9146
Er 1.8362 1.0601 5.6249
Er 1.8362 1.0601 10.9657
B 0.0000 2.1202 4.1569
B 0.0000 2.1202 12.4337
Pb 0.0000 0.0000 8.2953
Pb 1.8362 1.0601 0.0000
```

ErTm3In2B2: computed X-ray diffraction stick pattern (λ = 1.5418 Å (Cu Kα)), based on a DFT-relaxed cell (GGA-PBE, OQMD).
Intensities are scaled so that the largest is 100.

Peak list (10 most intense, 10 to 90 degrees two-theta, by angle)
| h k l | d [Å] | Position (°2θ) | I/Imax |
| --- | --- | --- | --- |
| 1 0 0 | 3.093 | 28.86 | 22 |
| 0 0 6 | 2.794 | 32.04 | 22 |
| 1 0 3 | 2.706 | 33.10 | 100 |
| 0 1 6 | 2.073 | 43.66 | 16 |
| 1 1 0 | 1.786 | 51.15 | 20 |
| 1 0 9 | 1.596 | 57.78 | 18 |
| 1 1 6 | 1.505 | 61.64 | 20 |
| 0 2 3 | 1.491 | 62.29 | 16 |
| 0 2 9 | 1.190 | 80.76 | 8 |
| 2 1 3 | 1.144 | 84.70 | 14 |

Crystal structure
```
8
Lattice="3.5718 0.0000 0.0000 -1.7859 3.0932 0.0000 0.0000 0.0000 16.7629" Properties=species:S:1:pos:R:3 pbc="T T T"
Er 0.0000 0.0000 0.0000
Tm 0.0000 0.0000 11.4370
Tm 0.0000 2.0622 3.0733
Tm 0.0000 2.0622 8.3835
In 0.0000 0.0000 5.7265
In 0.0000 2.0622 14.0919
B 1.7859 1.0311 1.5423
B 1.7859 1.0311 9.9111
```

ErTmInB: computed X-ray diffraction stick pattern (λ = 1.5418 Å (Cu Kα)), based on a DFT-relaxed cell (GGA-PBE, OQMD).
Intensities are scaled so that the largest is 100.

Peak list (10 most intense, 10 to 90 degrees two-theta, by angle)
| h k l | d [Å] | Position (°2θ) | I/Imax |
| --- | --- | --- | --- |
| 1 0 0 | 3.097 | 28.83 | 22 |
| 0 0 6 | 2.798 | 31.98 | 22 |
| 0 1 3 | 2.710 | 33.06 | 100 |
| 1 0 6 | 2.076 | 43.59 | 16 |
| 1 1 0 | 1.788 | 51.09 | 20 |
| 0 1 9 | 1.598 | 57.69 | 18 |
| 1 1 6 | 1.507 | 61.55 | 20 |
| 2 0 3 | 1.492 | 62.21 | 16 |
| 2 0 9 | 1.192 | 80.63 | 8 |
| 1 2 3 | 1.146 | 84.58 | 14 |

Crystal structure
```
8
Lattice="3.5758 0.0000 0.0000 -1.7879 3.0967 0.0000 0.0000 0.0000 16.7904" Properties=species:S:1:pos:R:3 pbc="T T T"
Er 0.0000 2.0645 1.5455
Er 1.7879 1.0322 15.2449
Tm 0.0000 2.0645 6.8694
Tm 1.7879 1.0322 9.9210
In 0.0000 2.0645 12.5766
In 1.7879 1.0322 4.2138
B 0.0000 0.0000 0.0000
B 0.0000 0.0000 8.3952
```

ErTmInB: computed X-ray diffraction stick pattern (λ = 1.5418 Å (Cu Kα)), based on a DFT-relaxed cell (GGA-PBE, OQMD).
Intensities are scaled so that the largest is 100.

Peak list (10 most intense, 10 to 90 degrees two-theta, by angle)
| h k l | d [Å] | Position (°2θ) | I/Imax |
| --- | --- | --- | --- |
| 1 0 0 | 3.094 | 28.85 | 22 |
| 0 0 6 | 2.799 | 31.97 | 22 |
| 1 0 3 | 2.708 | 33.08 | 100 |
| 1 0 6 | 2.076 | 43.60 | 16 |
| 1 1 0 | 1.787 | 51.13 | 20 |
| 1 0 9 | 1.598 | 57.69 | 17 |
| 1 1 6 | 1.506 | 61.58 | 20 |
| 2 0 3 | 1.491 | 62.25 | 16 |
| 2 0 9 | 1.191 | 80.65 | 8 |
| 2 1 3 | 1.145 | 84.65 | 14 |

Crystal structure
```
8
Lattice="3.5732 0.0000 0.0000 -1.7866 3.0945 0.0000 0.0000 0.0000 16.7955" Properties=species:S:1:pos:R:3 pbc="T T T"
Er 0.0000 0.0000 2.6689
Er 0.0000 0.0000 14.1266
Tm 0.0000 2.0630 5.7456
Tm 0.0000 2.0630 11.0499
In 0.0000 0.0000 8.3978
In 0.0000 2.0630 0.0000
B 1.7866 1.0315 4.2122
B 1.7866 1.0315 12.5833
```

KLi2ErB2O6: computed X-ray diffraction stick pattern (λ = 1.5418 Å (Cu Kα)), based on a DFT-relaxed cell (GGA-PBE, OQMD).
Intensities are scaled so that the largest is 100.

Peak list (10 most intense, 10 to 90 degrees two-theta, by angle)
| h k l | d [Å] | Position (°2θ) | I/Imax |
| --- | --- | --- | --- |
| 1 1 -1 | 5.306 | 16.71 | 100 |
| 1 1 0 | 4.939 | 17.96 | 56 |
| 1 0 -2 | 4.731 | 18.76 | 72 |
| 1 1 -2 | 4.212 | 21.09 | 38 |
| 0 2 1 | 4.086 | 21.75 | 74 |
| 2 0 -2 | 3.239 | 27.54 | 40 |
| 1 2 1 | 3.045 | 29.33 | 62 |
| 1 0 2 | 2.896 | 30.88 | 35 |
| 1 2 -3 | 2.686 | 33.36 | 52 |
| 2 2 -1 | 2.674 | 33.52 | 80 |

Crystal structure
```
48
Lattice="6.6355 0.0000 0.0000 0.0000 9.2504 0.0000 -4.6987 0.0000 8.7167" Properties=species:S:1:pos:R:3 pbc="T T T"
K 0.6606 1.1534 0.7509
K -1.6887 3.4718 5.1093
K 3.6255 5.7786 3.6074
K 1.2762 8.0969 7.9658
Li 0.3111 1.0609 3.9213
Li -2.0383 3.5643 8.2797
Li 0.4385 5.6967 4.4120
Li 2.7879 8.1789 0.0537
Li -0.8511 1.0715 8.6630
Li 1.4982 3.5537 4.3046
Li 3.9751 5.6860 0.4370
Li 1.6257 8.1895 4.7954
Er 0.5563 5.7055 1.3791
Er -1.7930 8.1700 5.7374
Er 3.7298 1.0803 2.9793
Er 1.3805 3.5448 7.3376
B -2.8310 1.3053 6.6396
B -0.4816 3.3199 2.2813
B -0.9235 5.8280 6.8349
B 1.4258 8.0475 2.4766
B 0.5110 1.2028 6.2401
B 2.8603 3.4223 1.8818
B 2.4184 5.9305 6.4354
B 4.7677 7.9450 2.0771
O -2.8292 0.9711 5.2779
O -0.4799 3.6541 0.9196
O -0.8828 2.0875 2.7578
O -3.2322 2.5377 7.1162
O -2.3133 0.3282 7.4844
O 0.0360 4.2969 3.1260
O -1.0489 6.0265 5.4760
O 1.3004 7.8490 1.1177
O -1.1233 6.9303 7.6396
O 1.2260 6.9453 3.2813
O 2.5536 4.6544 1.3045
O 0.2043 9.2211 5.6629
O 1.7325 0.0293 3.0538
O -0.6168 4.5959 7.4122
O 0.7108 2.3051 5.4354
O 3.0601 2.3201 1.0771
O 0.6363 1.4013 7.5990
O 2.9857 3.2239 3.2407
O 1.9007 4.9534 5.5907
O 4.2501 8.9221 1.2323
O 5.1689 6.7127 1.6005
O 2.8196 7.1629 5.9588
O 2.4167 5.5962 7.7971
O 4.7660 8.2793 3.4388
```

LaErNi8B2: computed X-ray diffraction stick pattern (λ = 1.5418 Å (Cu Kα)), based on a DFT-relaxed cell (GGA-PBE, OQMD).
Intensities are scaled so that the largest is 100.

Peak list (10 most intense, 10 to 90 degrees two-theta, by angle)
| h k l | d [Å] | Position (°2θ) | I/Imax |
| --- | --- | --- | --- |
| 1 0 2 | 2.731 | 32.79 | 86 |
| 1 1 0 | 2.510 | 35.77 | 30 |
| 2 0 0 | 2.174 | 41.54 | 76 |
| 2 0 1 | 2.076 | 43.59 | 14 |
| 1 1 2 | 2.042 | 44.37 | 100 |
| 2 1 2 | 1.488 | 62.40 | 27 |
| 1 1 4 | 1.439 | 64.81 | 16 |
| 2 0 4 | 1.366 | 68.73 | 13 |
| 3 0 2 | 1.340 | 70.27 | 24 |
| 2 2 0 | 1.255 | 75.80 | 21 |

Crystal structure
```
12
Lattice="5.0199 0.0000 0.0000 -2.5100 4.3474 0.0000 0.0000 0.0000 7.0219" Properties=species:S:1:pos:R:3 pbc="T T T"
La 0.0000 0.0000 0.0000
Er 0.0000 0.0000 3.5110
Ni -1.2550 2.1737 2.0838
Ni -1.2550 2.1737 4.9381
Ni 0.0000 2.8983 0.0000
Ni 2.5100 0.0000 2.0838
Ni 2.5100 0.0000 4.9381
Ni 1.2550 2.1737 2.0838
Ni 1.2550 2.1737 4.9381
Ni 2.5100 1.4491 0.0000
B 0.0000 2.8983 3.5110
B 2.5100 1.4491 3.5110
```

LaErNi8B2: computed X-ray diffraction stick pattern (λ = 1.5418 Å (Cu Kα)), based on a DFT-relaxed cell (GGA-PBE, OQMD).
Intensities are scaled so that the largest is 100.

Peak list (10 most intense, 10 to 90 degrees two-theta, by angle)
| h k l | d [Å] | Position (°2θ) | I/Imax |
| --- | --- | --- | --- |
| 1 0 2 | 2.727 | 32.84 | 86 |
| 1 1 0 | 2.523 | 35.58 | 30 |
| 1 1 1 | 2.373 | 37.92 | 15 |
| 2 0 0 | 2.185 | 41.32 | 75 |
| 1 1 2 | 2.045 | 44.30 | 100 |
| 2 1 2 | 1.493 | 62.17 | 27 |
| 1 1 4 | 1.435 | 64.98 | 14 |
| 2 0 4 | 1.364 | 68.86 | 16 |
| 3 0 2 | 1.344 | 69.98 | 24 |
| 2 2 0 | 1.262 | 75.33 | 21 |

Crystal structure
```
12
Lattice="5.0467 0.0000 0.0000 -2.5233 4.3705 0.0000 0.0000 0.0000 6.9798" Properties=species:S:1:pos:R:3 pbc="T T T"
La 0.0000 0.0000 0.0000
Er 0.0000 0.0000 3.4899
Ni -1.2617 2.1853 1.4658
Ni -1.2617 2.1853 5.5141
Ni 0.0000 2.9137 3.4899
Ni 2.5233 0.0000 1.4658
Ni 2.5233 0.0000 5.5141
Ni 1.2617 2.1853 1.4658
Ni 1.2617 2.1853 5.5141
Ni 2.5233 1.4568 3.4899
B 0.0000 2.9137 0.0000
B 2.5233 1.4568 0.0000
```

ErLuB4: computed X-ray diffraction stick pattern (λ = 1.5418 Å (Cu Kα)), based on a DFT-relaxed cell (GGA-PBE, OQMD).
Intensities are scaled so that the largest is 100.

Peak list (10 most intense, 10 to 90 degrees two-theta, by angle)
| h k l | d [Å] | Position (°2θ) | I/Imax |
| --- | --- | --- | --- |
| 0 0 2 | 3.754 | 23.70 | 47 |
| 1 1 0 | 2.819 | 31.74 | 77 |
| 1 1 2 | 2.254 | 40.00 | 100 |
| 0 0 4 | 1.877 | 48.50 | 10 |
| 2 0 0 | 1.627 | 56.55 | 20 |
| 1 1 4 | 1.562 | 59.13 | 27 |
| 2 0 2 | 1.493 | 62.17 | 22 |
| 2 2 2 | 1.319 | 71.50 | 18 |
| 2 0 4 | 1.230 | 77.65 | 15 |
| 1 1 6 | 1.144 | 84.76 | 12 |

Crystal structure
```
12
Lattice="3.2553 0.0000 0.0000 0.0000 5.6368 0.0000 0.0000 0.0000 7.5081" Properties=species:S:1:pos:R:3 pbc="T T T"
Er 0.0000 0.0000 0.0000
Er 1.6277 2.8184 3.7540
Lu 0.0000 0.0000 3.7540
Lu 1.6277 2.8184 0.0000
B 0.0000 1.8790 1.8720
B 0.0000 1.8790 5.6361
B 0.0000 3.7578 1.8720
B 0.0000 3.7578 5.6361
B 1.6277 0.9394 1.8820
B 1.6277 0.9394 5.6260
B 1.6277 4.6974 1.8820
B 1.6277 4.6974 5.6260
```

ErLuSnB: computed X-ray diffraction stick pattern (λ = 1.5418 Å (Cu Kα)), based on a DFT-relaxed cell (GGA-PBE, OQMD).
Intensities are scaled so that the largest is 100.

Peak list (10 most intense, 10 to 90 degrees two-theta, by angle)
| h k l | d [Å] | Position (°2θ) | I/Imax |
| --- | --- | --- | --- |
| 1 0 0 | 3.114 | 28.66 | 19 |
| 0 0 6 | 2.700 | 33.19 | 100 |
| 1 0 6 | 2.042 | 44.37 | 13 |
| 0 1 7 | 1.859 | 48.99 | 3 |
| 1 1 0 | 1.798 | 50.78 | 18 |
| 0 1 9 | 1.560 | 59.23 | 14 |
| 1 1 6 | 1.497 | 62.00 | 31 |
| 0 2 6 | 1.349 | 69.68 | 3 |
| 2 0 9 | 1.178 | 81.72 | 6 |
| 1 2 3 | 1.150 | 84.18 | 12 |

Crystal structure
```
8
Lattice="3.5961 0.0000 0.0000 -1.7981 3.1143 0.0000 0.0000 0.0000 16.2235" Properties=species:S:1:pos:R:3 pbc="T T T"
Er 0.0000 2.0762 1.5207
Er 1.7981 1.0381 14.7028
Lu 0.0000 2.0762 6.6469
Lu 1.7981 1.0381 9.5766
Sn 0.0000 2.0762 12.1240
Sn 1.7981 1.0381 4.0995
B 0.0000 0.0000 0.0000
B 0.0000 0.0000 8.1117
```

ErBNO: computed X-ray diffraction stick pattern (λ = 1.5418 Å (Cu Kα)), based on a DFT-relaxed cell (GGA-PBE, OQMD).
Intensities are scaled so that the largest is 100.

Peak list (10 most intense, 10 to 90 degrees two-theta, by angle)
| h k l | d [Å] | Position (°2θ) | I/Imax |
| --- | --- | --- | --- |
| 0 1 1 | 3.852 | 23.09 | 100 |
| 0 0 2 | 2.807 | 31.88 | 32 |
| 1 0 0 | 2.778 | 32.23 | 27 |
| 0 2 0 | 2.647 | 33.86 | 24 |
| 1 1 1 | 2.253 | 40.02 | 70 |
| 1 0 2 | 1.974 | 45.97 | 25 |
| 0 2 2 | 1.926 | 47.19 | 19 |
| 0 1 3 | 1.764 | 51.82 | 20 |
| 1 2 2 | 1.583 | 58.30 | 17 |
| 1 1 3 | 1.489 | 62.35 | 21 |

Crystal structure
```
8
Lattice="2.7777 0.0000 0.0000 0.0000 5.2945 0.0000 0.0000 0.0000 5.6138" Properties=species:S:1:pos:R:3 pbc="T T T"
Er 0.0000 1.1322 0.0000
Er 0.0000 4.1623 2.8069
B 1.3888 1.6061 2.7180
B 1.3888 3.6884 5.5249
N 0.0000 1.9280 2.1683
N 0.0000 3.3665 4.9752
O 1.3888 0.6050 3.7735
O 1.3888 4.6895 0.9666
```

Na2Er2B2TeO10: computed X-ray diffraction stick pattern (λ = 1.5418 Å (Cu Kα)), based on a DFT-relaxed cell (GGA-PBE, OQMD).
Intensities are scaled so that the largest is 100.

Peak list (10 most intense, 10 to 90 degrees two-theta, by angle)
| h k l | d [Å] | Position (°2θ) | I/Imax |
| --- | --- | --- | --- |
| 1 0 0 | 6.072 | 14.59 | 100 |
| 1 1 0 | 5.171 | 17.15 | 41 |
| 0 0 2 | 3.240 | 27.53 | 41 |
| 1 0 -2 | 3.196 | 27.92 | 27 |
| 0 3 1 | 2.933 | 30.48 | 65 |
| 2 1 0 | 2.902 | 30.81 | 39 |
| 1 3 -1 | 2.762 | 32.42 | 39 |
| 2 2 -1 | 2.591 | 34.61 | 23 |
| 3 2 -1 | 1.917 | 47.43 | 17 |
| 0 3 3 | 1.805 | 50.56 | 21 |

Crystal structure
```
34
Lattice="6.2563 0.0000 0.0000 0.0000 9.8685 0.0000 -1.6095 0.0000 6.4794" Properties=species:S:1:pos:R:3 pbc="T T T"
Na 0.2541 1.0900 1.0826
Na -0.5507 3.8442 4.3222
Na 5.1975 6.0243 2.1571
Na 4.3928 8.7785 5.3968
Er 0.7639 6.5802 6.3312
Er 1.5686 8.2225 3.0915
Er 3.0782 1.6460 3.3879
Er 3.8830 3.2882 0.1482
B 0.0030 0.9930 4.0551
B 0.8077 3.9412 0.8155
B 3.8391 5.9273 5.6639
B 4.6438 8.8755 2.4242
Te 3.1281 0.0000 0.0000
Te 2.3234 4.9342 3.2397
O -1.3965 6.6576 6.1635
O -0.5918 8.1451 2.9238
O -0.0666 0.6227 5.4217
O 0.7381 4.3115 2.1820
O 1.0736 0.5943 3.2936
O 1.8784 4.3400 0.0539
O 1.0650 6.0876 4.1179
O 1.8697 8.7151 0.8783
O 2.7872 1.5036 1.1557
O 1.9824 3.4306 4.3954
O 2.6644 6.4379 2.0839
O 1.8597 8.3648 5.3236
O 2.7771 1.1533 5.6011
O 3.5818 3.7809 2.3614
O 2.7685 5.5285 6.4254
O 3.5732 9.2742 3.1857
O 3.9087 5.5570 4.2973
O 4.7134 9.2457 1.0576
O 5.2386 1.7233 3.5555
O 6.0434 3.2109 0.3158
```

Q: Number 10 is which compound?
A: ErBNO